Diffraction record for Zn3InAg8. The powder diffractogram is simulated, not measured: it uses a DFT-relaxed cell (GGA-PBE, Alexandria) and Cu Kα, 1.54184 Å.

Cell and atoms:
Cell: 7.2076 7.2076 5.4605 Å, 90.00 90.00 120.00°
Sites, in units of the cell vectors:
Zn  0.0000  0.0000  0.0000
Zn  0.3333  0.6667  0.0000
Zn  0.6667  0.3333  0.0000
In  0.0000  0.0000  0.5000
Ag  0.0000  0.3382  0.2080
Ag  0.0000  0.6618  0.7920
Ag  0.3333  0.6667  0.5000
Ag  0.3382  0.0000  0.2080
Ag  0.3382  0.3382  0.7920
Ag  0.6618  0.0000  0.7920
Ag  0.6618  0.6618  0.2080
Ag  0.6667  0.3333  0.5000

Largest 10 diffraction maxima, in order of falling intensity, 2θ from 15° to 90°:
(hkl)	2theta	d/Å	I (rel.)
1 1 1	29.7	3.008	1000
2 -1 2	41.5	2.176	873
3 0 0	43.5	2.081	712
2 2 2	61.7	1.504	254
5 -1 2	78.5	1.219	247
4 -2 1	53.6	1.711	179
4 1 1	71.4	1.322	145
3 3 0	79.8	1.201	111
1 1 0	24.7	3.604	105
3 0 4	85.0	1.141	100